No. 1
Diffraction record for RbLiCdF6. The powder X-ray diffraction pattern is computed, not measured: it uses a crystal structure in Alexandria, relaxed with PBE and CuKα.
Intensities are scaled so that the largest is 100.

```
9
Lattice="5.5203 0.0000 0.0000 -2.7601 4.7807 0.0000 0.0000 0.0000 6.1144" Properties=species:S:1:pos:R:3 pbc="T T T"
Rb 0.0000 0.0000 0.0000
Li 0.0000 3.1871 3.0572
Cd 2.7601 1.5936 3.0572
F -1.0176 1.8449 4.2322
F -1.6712 2.9770 1.8822
F 1.0176 1.8449 1.8822
F -0.6536 4.7395 4.2322
F 1.6712 2.9770 4.2322
F 0.6536 4.7395 1.8822
```

Principal peaks in the range 10° ≤ 2θ ≤ 90°, low angle first:
| 2θ (°) | d_spacing | I (rel.) |
| --- | --- | --- |
| 14.49 | 6.114 | 10 |
| 18.56 | 4.781 | 23 |
| 23.62 | 3.766 | 100 |
| 32.44 | 2.760 | 16 |
| 34.83 | 2.576 | 13 |
| 40.52 | 2.226 | 19 |
| 44.21 | 2.049 | 36 |
| 48.56 | 1.875 | 11 |
| 52.83 | 1.733 | 21 |
| 57.86 | 1.594 | 10 |

No. 2
Diffraction record for RbLi2Cd2F7. The powder X-ray diffraction pattern is computed, not measured: it uses a crystal structure in Alexandria, relaxed with PBE and CuKα.
Intensities are scaled so that the largest is 100.

```
12
Lattice="-2.2218 2.2218 9.0534 2.2218 -2.2218 9.0534 2.2218 2.2218 -9.0534" Properties=species:S:1:pos:R:3 pbc="T T T"
Rb 0.0000 0.0000 0.0000
Li 2.2218 0.0000 4.5267
Li 0.0000 2.2218 4.5267
Cd 0.0000 0.0000 6.8174
Cd 0.0000 0.0000 11.2893
F 2.2218 0.0000 2.3677
F 0.0000 0.0000 4.5828
F 2.2218 0.0000 6.6857
F 0.0000 0.0000 9.0534
F 0.0000 2.2218 2.3677
F 0.0000 0.0000 13.5240
F 0.0000 2.2218 6.6857
```

Principal peaks in the range 10° ≤ 2θ ≤ 90°, low angle first:
| 2θ (°) | d_spacing | I (rel.) |
| --- | --- | --- |
| 20.58 | 4.315 | 30 |
| 24.88 | 3.578 | 100 |
| 28.41 | 3.142 | 57 |
| 31.88 | 2.807 | 56 |
| 39.83 | 2.263 | 29 |
| 40.61 | 2.222 | 56 |
| 48.21 | 1.888 | 33 |
| 49.64 | 1.836 | 24 |
| 52.53 | 1.742 | 27 |
| 58.19 | 1.586 | 34 |

No. 3
Diffraction record for LiCd2SnF8. The powder X-ray diffraction pattern is computed, not measured: it uses a crystal structure in Alexandria, relaxed with PBE and CuKα.
Intensities are scaled so that the largest is 100.

```
12
Lattice="5.0774 0.0000 0.0000 0.0000 6.9718 0.0000 -0.1456 0.0000 5.1164" Properties=species:S:1:pos:R:3 pbc="T T T"
Li 0.0000 0.0000 0.0000
Cd 2.4659 1.6330 2.5582
Cd 2.4659 5.3388 2.5582
Sn 0.0000 3.4859 0.0000
F 0.8385 1.8477 4.1525
F 0.8385 5.1241 4.1525
F 1.4033 0.0000 1.4561
F 1.4938 3.4859 1.5398
F 3.4380 3.4859 3.5766
F 3.5285 0.0000 3.6602
F 4.0933 1.8477 0.9639
F 4.0933 5.1241 0.9639
```

Principal peaks in the range 10° ≤ 2θ ≤ 90°, low angle first:
| 2θ (°) | d_spacing | I (rel.) |
| --- | --- | --- |
| 12.70 | 6.972 | 23 |
| 21.54 | 4.125 | 26 |
| 21.66 | 4.103 | 25 |
| 24.35 | 3.656 | 75 |
| 25.06 | 3.553 | 65 |
| 31.08 | 2.877 | 100 |
| 47.19 | 1.926 | 27 |
| 47.36 | 1.920 | 27 |
| 47.99 | 1.896 | 23 |
| 48.16 | 1.889 | 23 |

No. 4
Diffraction record for Mg2CdF2. The powder X-ray diffraction pattern is computed, not measured: it uses a crystal structure in Alexandria, relaxed with PBE and CuKα.
Intensities are scaled so that the largest is 100.

```
5
Lattice="-2.1283 2.1283 5.3129 2.1283 -2.1283 5.3129 2.1283 2.1283 -5.3129" Properties=species:S:1:pos:R:3 pbc="T T T"
Mg 2.1283 0.0000 2.6565
Mg 0.0000 2.1283 2.6565
Cd 0.0000 0.0000 0.0000
F 0.0000 0.0000 3.0557
F 0.0000 0.0000 7.5701
```

Principal peaks in the range 10° ≤ 2θ ≤ 90°, low angle first:
| 2θ (°) | d_spacing | I (rel.) |
| --- | --- | --- |
| 22.50 | 3.951 | 100 |
| 29.68 | 3.010 | 24 |
| 32.90 | 2.723 | 68 |
| 33.74 | 2.656 | 29 |
| 34.24 | 2.619 | 53 |
| 42.47 | 2.128 | 35 |
| 48.59 | 1.874 | 25 |
| 54.74 | 1.677 | 29 |
| 55.31 | 1.661 | 26 |
| 60.67 | 1.526 | 14 |